# Sm3Mg5Ag2
Calculated X-ray powder pattern, Cu Kα. Input: a DFT-relaxed cell (PBE, Alexandria).
Lines closer than 0.1° are merged.

The 8 most intense peaks (15 to 90 degrees two-theta), in order of rising 2θ:
hkl 0 0 1, 2θ 19.70, I 77
hkl 3 1 0, 2θ 26.73, I 52
hkl 2 2 1, 2θ 31.14, I 32
hkl 3 1 1, 2θ 33.43, I 100
hkl 4 1 0, 2θ 35.09, I 32
hkl 3 2 1, 2θ 36.63, I 36
hkl 0 0 2, 2θ 40.02, I 27
hkl 4 4 0, 2θ 48.80, I 28

Structural model:
```
Sm3Mg5Ag2
1.0
10.5448 0.0000 0.0000
0.0000 10.5448 0.0000
0.0000 0.0000 4.5057
Sm Mg Ag
6 10 4
Cartesian
0.0000 0.0000 0.0000
1.8850 3.3874 0.0000
3.3874 8.6598 0.0000
5.2724 5.2724 0.0000
7.1575 1.8850 0.0000
8.6598 7.1575 0.0000
0.0000 5.2724 2.2528
0.6814 8.2612 2.2528
2.2837 0.6814 2.2528
2.9888 5.9538 2.2528
4.5910 2.9888 2.2528
5.2724 0.0000 2.2528
5.9538 7.5561 2.2528
7.5561 4.5910 2.2528
8.2612 9.8634 2.2528
9.8634 2.2837 2.2528
1.2204 6.4928 0.0000
4.0520 1.2204 0.0000
6.4928 9.3245 0.0000
9.3245 4.0520 0.0000
```